The following is a simulated powder X-ray diffraction pattern of NdDyTlSn. It was derived from a DFT-relaxed cell (GGA-PBE, Alexandria), using Cu Kα X-rays.
Peak positions follow from Bragg's law for the DFT cell and can differ from measured ones.

```
NdDyTlSn
1.0
4.391 0.000 0.000
0.000 4.634 0.000
0.000 0.000 11.644
Nd Dy Tl Sn
2 2 2 2
direct
0.000 0.000 0.000
0.000 0.500 0.500
0.500 0.000 0.729
0.500 0.500 0.229
0.500 0.000 0.455
0.500 0.500 0.955
0.000 0.000 0.275
0.000 0.500 0.775
```

Top 8 peaks for 2θ = 10–90°, most intense first:
h k l  2θ/deg  I/Imax
1 1 1  29.0  100
1 1 3  36.5  80
0 0 4  30.7  33
0 2 0  38.9  28
2 0 0  41.1  24
1 0 4  37.1  18
2 2 0  57.9  18
0 2 4  50.3  17